The following is a theoretical powder diffractogram of CaCr2N2. It was derived from DFT lattice parameters and positions (GGA-PBE), using Cu Kα (λ = 1.5418 Å).
Intensities are scaled so that the largest is 100.

Largest 6 diffraction maxima, low angle first, 10 to 90 degrees two-theta:
index	two_theta	Rel. int.
1 0 0	27.8	24.1
1 0 1	30.5	100.0
0 0 3	37.1	23.5
1 0 2	37.4	32.4
1 1 0	39.8	31.0
1 1 3	55.5	33.3

Structure:
a = 3.2049 Å, b = 3.2049 Å, c = 7.2629 Å
α = 90.00°, β = 90.00°, γ = 90.00°
Positions (direct):
Ca (0.0000, 0.0000, 0.0000)
Cr (0.5000, 0.5000, 0.3454)
Cr (0.5000, 0.5000, 0.6546)
N (0.0000, 0.5000, 0.7703)
N (0.5000, 0.0000, 0.2297)